Computed X-ray diffraction stick pattern of Tm3Pd8 for Cu Kα, from a DFT-relaxed cell (PBE, Alexandria).

The 12 most intense peaks (2θ = 15–90°), most intense first:
2θ (°), d (Å), I (rel.), h k l
29.6, 3.021, 100, 2 0 2
49.4, 1.845, 98, 2 2 3
31.2, 2.862, 85, 3 -1 1
35.6, 2.524, 85, 3 -2 2
42.1, 2.148, 78, 4 -3 1
40.5, 2.227, 59, 1 0 4
39.2, 2.298, 27, 2 2 0
73.9, 1.283, 25, 4 -2 6
62.5, 1.485, 21, 2 4 1
46.7, 1.946, 21, 4 0 1
71.0, 1.327, 20, 6 0 0
22.2, 4.008, 17, 0 1 2

Crystal structure
abc: 9.1930 9.1930 9.2772
angles: 90.00 90.00 120.00
Space group R-3 (No. 148, hexagonal axes)
Symmetry-distinct sites (fractional):
Tm 0.0000 0.5000 0.0000
Pd 0.0000 0.0000 0.3599
Pd 0.0427 0.1992 0.8862

=====

Computed X-ray diffraction stick pattern of RbIn10Ga2 for Cu Kα, from a DFT-relaxed cell (PBE, Alexandria).

The 12 most intense peaks (2θ = 15–90°), most intense first:
2θ (°), d (Å), I (rel.), h k l
33.1, 2.709, 100, 2 2 2
33.3, 2.692, 91, 0 4 4
32.8, 2.728, 87, 1 1 5
36.9, 2.436, 83, 2 0 4
33.6, 2.666, 69, 1 5 1
37.4, 2.405, 65, 2 4 0
28.7, 3.115, 61, 1 3 3
37.1, 2.426, 40, 1 3 5
59.3, 1.557, 39, 2 6 6
28.5, 3.134, 35, 2 0 0
37.5, 2.396, 33, 1 5 3
37.8, 2.379, 33, 0 6 2

Crystal structure
abc: 6.2679 15.0030 15.4657
angles: 90.00 90.00 90.00
Space group Fmmm (No. 69)
Symmetry-distinct sites (fractional):
Rb 0.0000 0.0000 0.0000
In 0.0000 0.1063 0.3862
In 0.0000 0.1723 0.1823
In 0.2500 0.2500 0.0000
Ga 0.2500 0.0000 0.2500

=====

Computed X-ray diffraction stick pattern of Ba5Na2Sr2 for Cu Kα, from a DFT-relaxed cell (PBE, Alexandria).

The 12 most intense peaks (2θ = 15–90°), most intense first:
2θ (°), d (Å), I (rel.), h k l
23.5, 3.781, 100, 0 4 2
25.0, 3.558, 99, 2 4 0
26.9, 3.317, 84, 2 0 2
47.2, 1.925, 31, 4 4 2
41.1, 2.198, 31, 2 8 2
44.6, 2.030, 27, 2 4 4
48.1, 1.891, 23, 2 11 1
28.1, 3.176, 21, 0 7 1
43.5, 2.081, 19, 2 7 3
40.3, 2.237, 17, 4 0 0
30.5, 2.935, 16, 0 8 0
24.6, 3.615, 15, 2 3 1

Crystal structure
abc: 8.9468 23.4771 9.8882
angles: 90.00 90.00 90.00
Space group Imma (No. 74)
Symmetry-distinct sites (fractional):
Ba 0.0000 0.2500 0.0375
Ba 0.2500 0.1129 0.2500
Ba 0.2500 0.1503 0.7500
Na 0.0000 0.0337 0.8751
Sr 0.0000 0.0000 0.5000
Sr 0.0000 0.2500 0.4626

=====

Computed X-ray diffraction stick pattern of K3Li for Cu Kα, from a DFT-relaxed cell (PBE, Alexandria).

The 12 most intense peaks (2θ = 15–90°), most intense first:
2θ (°), d (Å), I (rel.), h k l
26.3, 3.388, 100, 1 1 1
26.5, 3.358, 97, 3 1 -1
24.9, 3.574, 66, 2 0 -2
22.0, 4.034, 43, 2 0 1
22.5, 3.958, 41, 4 0 -1
20.6, 4.304, 39, 1 1 0
24.6, 3.614, 38, 4 0 0
36.9, 2.434, 33, 5 1 0
45.5, 1.995, 26, 6 0 1
44.7, 2.028, 23, 3 1 2
44.6, 2.032, 21, 1 1 -3
45.0, 2.013, 21, 5 1 -3

Crystal structure
abc: 15.9980 4.5084 7.1499
angles: 90.00 115.37 90.00
Space group C2/m (No. 12)
Symmetry-distinct sites (fractional):
K 0.0000 0.0000 0.0000
K 0.2132 0.0000 0.7135
Li 0.0000 0.5000 0.5000